For Sc8HgPt2, DFT lattice parameters and positions (PBE) gives the calculated powder XRD pattern in this record (Cu Kα X-rays).
Lines closer than 0.1° are merged.

Structure:
Cell lengths 4.5976, 7.2980, 13.9971 Å; angles 90.00, 90.00, 90.00 degrees
Space group Immm (No. 71)
One atom of each set of equivalent atoms:
Sc 0.0000 0.0000 0.1410
Sc 0.0000 0.2178 0.3317
Sc 0.0000 0.3103 0.0000
Hg 0.0000 0.5000 0.5000
Pt 0.0000 0.5000 0.1824

Peak list (8 most intense, 2θ from 10° to 90°, sorted by position)
22.62°, I = 53, (0 1 3); 22.86°, I = 52, (1 1 0); 24.39°, I = 18, (0 2 0); 27.23°, I = 20, (1 0 3); 36.88°, I = 100, (1 2 3); 38.59°, I = 20, (0 0 6); 39.19°, I = 24, (2 0 0); 45.72°, I = 18, (2 1 3)